Entry 1:
# TbCuTe2
Simulated powder diffraction line list, a wavelength of 1.5418 Å. Input: a DFT-relaxed cell (PBE, the Materials Project).
Lines closer than 0.1° are merged.

Crystal structure
a b c (Å): 4.3698 4.3698 6.8939
angles (deg): 90.00 90.00 120.00
Space group P3m1 (No. 156)
Inequivalent atoms, fractional coordinates:
Tb: 0.0000 0.0000 0.0000
Cu: 0.3333 0.6667 0.3678
Te: 0.3333 0.6667 0.7505
Te: 0.6667 0.3333 0.2733

Principal peaks in the range 10° ≤ 2θ ≤ 80°, in order of falling intensity:
(hkl)	2theta	Rel. int.
1 0 1	26.88	1000
1 0 2	35.22	622
1 1 0	41.32	539
0 1 3	46.22	240
0 2 1	49.98	182
0 2 2	55.39	168
2 1 2	71.40	156
0 0 1	12.84	154
2 1 1	66.80	151
1 1 3	58.27	125

***

Entry 2:
# Sr8PbN6
Simulated powder diffraction line list, a wavelength of 1.5418 Å. Input: a DFT-relaxed cell (PBE, the Materials Project).
Lines closer than 0.1° are merged.

Crystal structure
a b c (Å): 16.0568 29.6932 4.9854
angles (deg): 90.00 91.64 90.00
Space group Cm (No. 8)
Inequivalent atoms, fractional coordinates:
Sr: 0.0000 0.0000 0.0000
Sr: 0.0179 0.1667 0.0591
Sr: 0.0953 0.4291 0.4617
Sr: 0.1202 0.0678 0.5247
Sr: 0.1566 0.2079 0.5451
Sr: 0.1857 0.5000 0.9195
Sr: 0.2460 0.3984 0.0138
Sr: 0.2874 0.2760 0.0301
Sr: 0.3507 0.5000 0.4779
Sr: 0.3699 0.0671 0.4340
Sr: 0.3849 0.3688 0.5367
Sr: 0.4391 0.2273 0.5203
Sr: 0.4678 0.1225 0.9357
Sr: 0.4736 0.0000 0.9503
Pb: 0.1070 0.3169 0.2856
Pb: 0.2593 0.0000 0.9399
N: 0.0253 0.0000 0.5022
N: 0.0542 0.1402 0.5598
N: 0.0584 0.2486 0.2070
N: 0.0890 0.4331 0.9612
N: 0.2605 0.4343 0.5215
N: 0.2918 0.2467 0.5283
N: 0.3459 0.0609 0.9325
N: 0.3661 0.3454 0.0336
N: 0.4775 0.0000 0.4513
N: 0.4898 0.1463 0.4409

Principal peaks in the range 10° ≤ 2θ ≤ 80°, in order of falling intensity:
(hkl)	2theta	Rel. int.
4 0 -1	28.14	1000
2 8 0	26.42	782
1 3 0	10.50	645
4 8 0	32.88	563
1 7 1	28.28	483
4 0 1	28.99	452
0 8 1	30.03	447
5 7 0	35.06	391
3 9 0	31.88	366
1 3 1	20.85	343

***

Entry 3:
# KEuNb4O12
Simulated powder diffraction line list, a wavelength of 1.5418 Å. Input: a DFT-relaxed cell (PBE, the Materials Project).
Lines closer than 0.1° are merged.

Crystal structure
a b c (Å): 7.9911 7.9237 7.9875
angles (deg): 90.00 90.00 90.00
Space group Amm2 (No. 38)
Inequivalent atoms, fractional coordinates:
K: 0.0000 0.0000 0.0000
Eu: 0.5000 0.0000 0.5340
Nb: 0.2484 0.2466 0.2563
O: 0.0000 0.2235 0.2684
O: 0.2378 0.0000 0.7326
O: 0.2630 0.2258 0.0153
O: 0.2931 0.0000 0.3043
O: 0.5000 0.2172 0.7550

Principal peaks in the range 10° ≤ 2θ ≤ 80°, in order of falling intensity:
(hkl)	2theta	Rel. int.
2 2 0	31.81	1000
1 1 1	19.30	501
2 0 2	31.68	468
4 2 2	56.51	397
4 0 0	45.41	367
0 0 2	22.25	336
2 4 2	56.76	198
4 4 0	66.48	197
0 4 0	45.81	182
3 1 1	37.36	178

***

Entry 4:
# Ni2As3Pd4
Simulated powder diffraction line list, a wavelength of 1.5418 Å. Input: a DFT-relaxed cell (PBE, the Materials Project).
Lines closer than 0.1° are merged.

Crystal structure
a b c (Å): 3.7215 10.7654 6.6632
angles (deg): 90.00 90.00 90.00
Space group Amm2 (No. 38)
Inequivalent atoms, fractional coordinates:
Ni: 0.0000 0.1274 0.0000
As: 0.0000 0.1715 0.3547
As: 0.5000 0.0000 0.8862
Pd: 0.0000 0.0000 0.6118
Pd: 0.5000 0.0000 0.2646
Pd: 0.5000 0.2034 0.6688

Principal peaks in the range 10° ≤ 2θ ≤ 80°, in order of falling intensity:
(hkl)	2theta	Rel. int.
1 3 1	37.34	1000
1 2 2	40.00	794
2 0 0	48.95	356
1 0 2	36.19	321
0 3 3	48.18	283
1 4 0	41.40	229
0 1 3	41.51	225
0 6 0	50.89	220
2 3 3	71.13	171
0 5 1	44.21	146

***

Entry 5:
# Li2Fe2S3
Simulated powder diffraction line list, a wavelength of 1.5418 Å. Input: a DFT-relaxed cell (PBE, the Materials Project).
Lines closer than 0.1° are merged.

Crystal structure
a b c (Å): 7.3017 6.2593 6.1345
angles (deg): 90.00 114.29 90.00
Space group P2_1/c (No. 14)
Inequivalent atoms, fractional coordinates:
Li: 0.1383 0.1157 0.2241
Fe: 0.4783 0.6411 0.3552
S: 0.1985 0.0190 0.8657
S: 0.5000 0.0000 0.5000

Principal peaks in the range 10° ≤ 2θ ≤ 80°, in order of falling intensity:
(hkl)	2theta	Rel. int.
1 0 0	13.30	1000
0 1 1	21.34	244
0 2 1	32.82	230
3 0 0	40.67	159
2 3 -1	50.64	127
2 1 -2	35.38	127
0 1 3	51.11	126
0 2 0	28.53	121
1 1 -2	32.51	110
2 0 0	26.79	105

***

Entry 6:
# EuHo3
Simulated powder diffraction line list, a wavelength of 1.5418 Å. Input: a DFT-relaxed cell (PBE, the Materials Project).
Lines closer than 0.1° are merged.

Crystal structure
a b c (Å): 4.8720 4.8720 9.7924
angles (deg): 90.00 90.00 90.00
Space group I4/mmm (No. 139)
Inequivalent atoms, fractional coordinates:
Eu: 0.0000 0.0000 0.0000
Ho: 0.0000 0.0000 0.5000
Ho: 0.0000 0.5000 0.2500

Principal peaks in the range 10° ≤ 2θ ≤ 80°, in order of falling intensity:
(hkl)	2theta	Rel. int.
1 1 2	31.76	1000
2 0 0	36.90	335
3 1 2	63.28	279
2 0 4	53.03	237
0 0 4	36.71	170
1 1 6	63.02	141
2 2 4	66.36	121
2 2 0	53.17	118
4 0 0	78.53	38
0 0 8	78.07	19

***

Entry 7:
# Mg6AlCdO8
Simulated powder diffraction line list, a wavelength of 1.5418 Å. Input: a DFT-relaxed cell (PBE, the Materials Project).
Lines closer than 0.1° are merged.

Crystal structure
a b c (Å): 4.4086 4.4086 8.6882
angles (deg): 90.00 90.00 90.00
Space group P4/mmm (No. 123)
Inequivalent atoms, fractional coordinates:
Mg: 0.0000 0.0000 0.0000
Mg: 0.0000 0.0000 0.5000
Mg: 0.0000 0.5000 0.2484
Al: 0.5000 0.5000 0.0000
Cd: 0.5000 0.5000 0.5000
O: 0.0000 0.0000 0.2472
O: 0.0000 0.5000 0.0000
O: 0.0000 0.5000 0.5000
O: 0.5000 0.5000 0.2083

Principal peaks in the range 10° ≤ 2θ ≤ 80°, in order of falling intensity:
(hkl)	2theta	Rel. int.
2 0 0	40.94	1000
2 0 4	59.77	533
1 1 2	35.44	473
0 0 4	41.58	441
0 0 1	10.18	428
1 0 1	22.62	326
2 2 0	59.29	294
1 0 0	20.14	287
1 0 2	28.85	263
2 2 4	75.00	251

***

Entry 8:
# LiAuF4
Simulated powder diffraction line list, a wavelength of 1.5418 Å. Input: a DFT-relaxed cell (PBE, the Materials Project).
Lines closer than 0.1° are merged.

Crystal structure
a b c (Å): 11.1109 6.4160 5.0109
angles (deg): 90.00 113.23 90.00
Space group C2/c (No. 15)
Inequivalent atoms, fractional coordinates:
Li: 0.0000 0.1683 0.2500
Au: 0.2500 0.2500 0.0000
F: 0.1104 0.1038 0.6788
F: 0.1261 0.3537 0.1623

Principal peaks in the range 10° ≤ 2θ ≤ 80°, in order of falling intensity:
(hkl)	2theta	Rel. int.
1 1 1	27.88	1000
1 1 -1	22.54	999
2 0 0	17.37	801
3 1 -1	29.28	502
2 2 0	32.98	396
4 0 -2	41.17	387
4 2 0	45.41	170
5 1 -1	43.14	166
2 2 -2	46.02	161
1 3 1	49.25	158

***

Entry 9:
# LiSmHg2
Simulated powder diffraction line list, a wavelength of 1.5418 Å. Input: a DFT-relaxed cell (PBE, the Materials Project).
Lines closer than 0.1° are merged.

Crystal structure
a b c (Å): 7.2254 7.2254 7.2254
angles (deg): 90.00 90.00 90.00
Space group Fm-3m (No. 225)
Inequivalent atoms, fractional coordinates:
Li: 0.0000 0.0000 0.0000
Sm: 0.0000 0.0000 0.5000
Hg: 0.2500 0.2500 0.2500

Principal peaks in the range 10° ≤ 2θ ≤ 80°, in order of falling intensity:
(hkl)	2theta	Rel. int.
2 2 0	35.13	1000
4 2 2	63.03	374
2 0 0	24.64	236
4 0 0	50.53	181
1 1 1	21.30	159
4 4 0	74.25	117
4 2 0	57.00	101
3 1 1	41.45	85
2 2 2	43.38	74
6 0 0	79.61	51